[1]
Theoretical PXRD pattern
Compound: RbTl2SbCl6
Radiation: Cu Kα (λ = 1.5418 Å)
Structure: a cell relaxed with GGA-PBE

Top 10 peaks for 2θ from 10° to 80°, sorted by position:
(hkl), two_theta, intensity
0 1 2, 15.62, 50
1 0 4, 21.88, 99
1 1 0, 22.44, 100
0 2 4, 31.54, 55
2 -1 6, 35.01, 64
3 -1 4, 39.05, 55
3 0 0, 39.38, 47
1 3 4, 51.30, 20
2 1 10, 57.94, 18
1 4 0, 61.96, 19

Crystal structure
Lattice parameters (Å, degrees): 7.9253 7.9253 20.1588 90.00 90.00 120.00
Space group R3 (No. 146, hexagonal axes)
Unique sites:
Rb: 0.0000 0.0000 0.0000 (multiplicity 3)
Tl: 0.0000 0.0000 0.2791 (multiplicity 3)
Tl: 0.0000 0.0000 0.7922 (multiplicity 3)
Sb: 0.0000 0.0000 0.4895 (multiplicity 3)
Cl: 0.0187 0.3957 0.2267 (multiplicity 9)
Cl: 0.0823 0.6861 0.0744 (multiplicity 9)

***

[2]
Theoretical PXRD pattern
Compound: Ce2Zn5Cd
Radiation: Cu Kα (λ = 1.5418 Å)
Structure: a cell relaxed with GGA-PBE

Top 10 peaks for 2θ from 10° to 80°, sorted by position:
(hkl), two_theta, intensity
1 1 2, 28.68, 35
1 3 2, 32.58, 100
1 5 0, 33.86, 62
1 1 3, 36.34, 40
0 6 2, 38.20, 31
0 0 4, 39.62, 29
2 0 0, 40.82, 47
0 6 3, 44.44, 20
2 6 2, 57.14, 19
1 9 4, 69.12, 23

Crystal structure
Lattice parameters (Å, degrees): 4.4208 16.5254 9.0944 90.00 90.00 90.00
Space group Cmcm (No. 63)
Unique sites:
Ce: 0.0000 0.0000 0.0000 (multiplicity 4)
Ce: 0.0000 0.2071 0.2500 (multiplicity 4)
Zn: 0.0000 0.1859 0.6084 (multiplicity 8)
Zn: 0.0000 0.3442 0.5183 (multiplicity 8)
Zn: 0.0000 0.3963 0.2500 (multiplicity 4)
Cd: 0.0000 0.4435 0.7500 (multiplicity 4)

***

[3]
Theoretical PXRD pattern
Compound: Pm3In2Pd6
Radiation: Cu Kα (λ = 1.5418 Å)
Structure: a cell relaxed with GGA-PBE

Top 10 peaks for 2θ from 10° to 80°, sorted by position:
(hkl), two_theta, intensity
1 1 0, 12.81, 15
3 1 0, 28.88, 14
2 2 2, 31.71, 30
3 2 1, 34.32, 25
4 0 0, 36.77, 15
3 3 0, 39.09, 100
4 2 0, 41.30, 16
5 3 2, 58.17, 12
6 2 2, 63.08, 17
6 3 3, 70.83, 27

Crystal structure
Lattice parameters (Å, degrees): 9.7761 9.7761 9.7761 90.00 90.00 90.00
Space group Im-3m (No. 229)
Unique sites:
Pm: 0.0000 0.0000 0.2907 (multiplicity 12)
In: 0.2500 0.2500 0.2500 (multiplicity 8)
Pd: 0.0000 0.3435 0.3435 (multiplicity 24)